For NpSi, DFT lattice parameters and positions (GGA-PBE) gives the theoretical XRD peak list in this record (CuKα).
No peak broadening, texture or thermal motion is included.

Crystal structure
Cell: 9.539 2.573 5.470 Å, 90.00 90.00 90.00°
Fractional coordinates of all 8 atoms:
1 Np 0.229 0.250 0.067
2 Np 0.271 0.750 0.567
3 Np 0.729 0.250 0.433
4 Np 0.771 0.750 0.933
5 Si 0.009 0.250 0.696
6 Si 0.491 0.750 0.196
7 Si 0.509 0.250 0.804
8 Si 0.991 0.750 0.304

Main lines, in order of rising 2θ (2θ from 10° to 90°):
| index | two_theta | d (Å) | I/Imax |
| --- | --- | --- | --- |
| 2 0 0 | 18.6 | 4.769 | 100 |
| 1 0 2 | 34.1 | 2.629 | 36 |
| 4 0 0 | 37.7 | 2.385 | 24 |
| 2 0 2 | 37.9 | 2.373 | 27 |
| 1 1 1 | 39.9 | 2.262 | 73 |
| 2 1 1 | 43.2 | 2.092 | 18 |
| 3 0 2 | 43.7 | 2.073 | 15 |
| 3 1 1 | 48.5 | 1.878 | 36 |
| 2 1 3 | 65.8 | 1.420 | 15 |
| 1 0 4 | 69.5 | 1.353 | 13 |